[1]
Structure and simulated X-ray diffraction stick pattern of LuTiGe (a structure optimized by DFT (PBE); copper Kα).
Neutral-atom scattering factors, no anomalous dispersion.

Cell and atoms:
Lattice parameters (Å, degrees): 4.010 4.010 7.511 90.00 90.00 90.00
Space group P4/nmm (No. 129, origin choice 2)
Asymmetric unit:
Lu 0.250 0.250 0.158
Ti 0.250 0.750 0.500
Ge 0.250 0.250 0.753

Main lines, by angle (10 to 90 degrees two-theta):
two_theta	I/Imax	(hkl)
25.18	38	1 0 1
31.55	91	1 1 0
32.67	100	1 0 2
33.79	78	1 1 1
35.87	40	0 0 3
39.84	89	1 1 2
45.23	73	2 0 0
56.90	42	2 1 2
59.02	43	2 0 3
84.05	33	2 1 5

=====

[2]
Structure and simulated X-ray diffraction stick pattern of Lu4Zn5Ge6 (a structure optimized by DFT (PBE); copper Kα).
Neutral-atom scattering factors, no anomalous dispersion.

Cell and atoms:
Lattice parameters (Å, degrees): 4.213 18.360 15.138 90.00 90.00 90.00
Space group Cmc2_1 (No. 36)
Asymmetric unit:
Lu 0.000 0.018 0.000
Lu 0.000 0.032 0.265
Lu 0.000 0.167 0.804
Lu 0.000 0.175 0.445
Zn 0.000 0.151 0.128
Zn 0.000 0.301 0.125
Zn 0.000 0.345 0.775
Zn 0.000 0.349 0.483
Zn 0.000 0.435 0.188
Ge 0.000 0.112 0.617
Ge 0.000 0.225 0.985
Ge 0.000 0.230 0.268
Ge 0.000 0.430 0.910
Ge 0.000 0.434 0.630
Ge 0.000 0.440 0.356

Main lines, by angle (10 to 90 degrees two-theta):
two_theta	I/Imax	(hkl)
28.01	19	1 1 3
32.16	40	1 1 4
32.34	28	1 5 0
32.89	33	1 5 1
35.08	27	1 3 4
35.57	27	0 0 6
37.04	100	1 5 3
40.37	19	1 5 4
42.94	61	2 0 0
53.08	20	0 10 3

=====

[3]
Structure and simulated X-ray diffraction stick pattern of Mg5Ge (a structure optimized by DFT (PBE); copper Kα).
Neutral-atom scattering factors, no anomalous dispersion.

Cell and atoms:
Lattice parameters (Å, degrees): 5.4141 5.4141 15.2381 90.00 90.00 120.00
Space group R32 (No. 155, hexagonal axes)
Asymmetric unit:
Mg 0.0000 0.0000 0.1671
Mg 0.0000 0.6612 0.0000
Ge 0.0000 0.0000 0.5000

Main lines, by angle (10 to 90 degrees two-theta):
two_theta	I/Imax	(hkl)
19.81	21	1 0 1
22.26	14	0 1 2
33.09	28	1 1 0
35.34	26	0 0 6
37.65	100	1 1 3
49.19	18	1 1 6
59.11	17	3 0 0
64.97	19	1 1 9
70.79	19	3 0 6
72.23	14	2 2 3

=====

[4]
Structure and simulated X-ray diffraction stick pattern of Mg3Ge (a structure optimized by DFT (PBE); copper Kα).
Neutral-atom scattering factors, no anomalous dispersion.

Cell and atoms:
Lattice parameters (Å, degrees): 6.9527 6.9527 4.2527 90.00 90.00 120.00
Space group P6_3/m (No. 176)
Asymmetric unit:
Mg 0.0851 0.3725 0.2500
Ge 0.3333 0.6667 0.7500

Main lines, by angle (10 to 90 degrees two-theta):
two_theta	I/Imax	(hkl)
14.71	72	1 0 0
25.64	74	1 0 1
29.67	20	2 0 0
33.29	35	1 1 1
36.57	100	2 0 1
42.51	24	0 0 2
45.19	95	3 0 0
59.48	18	2 1 2
63.77	22	3 0 2
71.87	44	2 3 1